# 1
This entry pairs a crystal structure of HoSc3C2 with its simulated PXRD pattern. Radiation: Cu Kα (λ = 1.5418 Å). Structure: a DFT-relaxed cell (GGA-PBE, Alexandria).
Neutral-atom scattering factors, no anomalous dispersion.

Main lines, in order of rising 2θ (10 to 80 degrees two-theta):
- (0 1 2), 21.72 deg, d 4.092, rel. 42.6
- (1 1 0), 21.82 deg, d 4.073, rel. 42.2
- (2 0 2), 30.98 deg, d 2.887, rel. 100.0
- (3 0 0), 38.23 deg, d 2.354, rel. 31.3
- (0 2 4), 44.27 deg, d 2.046, rel. 47.9
- (2 2 0), 44.49 deg, d 2.036, rel. 47.2
- (0 4 2), 55.20 deg, d 1.664, rel. 19.0
- (2 2 6), 73.17 deg, d 1.293, rel. 16.0

Structure:
Lattice parameters (Å, degrees): 8.1458 8.1458 10.0482 90.00 90.00 120.00
Space group R-3m (No. 166, hexagonal axes)
Symmetry-distinct sites (fractional):
Ho (0.0000, 0.0000, 0.2489) [6 per cell]
Sc (0.0005, 0.5003, 0.2500) [18 per cell]
C (0.0000, 0.0000, 0.0000) [3 per cell]
C (0.0000, 0.5000, 0.0000) [9 per cell]

# 2
This entry pairs a crystal structure of Ho6C2Se3 with its simulated PXRD pattern. Radiation: Cu Kα (λ = 1.5418 Å). Structure: a DFT-relaxed cell (GGA-PBE, Alexandria).
Neutral-atom scattering factors, no anomalous dispersion.

Main lines, in order of rising 2θ (10 to 80 degrees two-theta):
- (0 0 18), 26.68 deg, d 3.341, rel. 12.6
- (1 0 7), 29.39 deg, d 3.039, rel. 26.7
- (1 0 10), 31.28 deg, d 2.860, rel. 21.9
- (0 1 11), 32.04 deg, d 2.793, rel. 100.0
- (1 0 22), 43.25 deg, d 2.092, rel. 20.5
- (1 1 0), 48.52 deg, d 1.876, rel. 41.3
- (2 0 11), 59.34 deg, d 1.557, rel. 17.0
- (1 1 30), 68.50 deg, d 1.370, rel. 12.1

Structure:
Lattice parameters (Å, degrees): 3.7523 3.7523 60.1362 90.00 90.00 120.00
Space group R-3m (No. 166, hexagonal axes)
Symmetry-distinct sites (fractional):
Ho (0.0000, 0.0000, 0.0935) [6 per cell]
Ho (0.0000, 0.0000, 0.1966) [6 per cell]
Ho (0.0000, 0.0000, 0.3639) [6 per cell]
C (0.0000, 0.0000, 0.4493) [6 per cell]
Se (0.0000, 0.0000, 0.0000) [3 per cell]
Se (0.0000, 0.0000, 0.2724) [6 per cell]